Simulated powder diffraction line list
Compound: YTm3Mg8
Radiation: Cu Kα
Structure: a cell relaxed with PBE

Cell and atoms:
abc: 6.0353 6.0353 9.7120
angles: 90.00 90.00 120.00
Fractional coordinates of all 12 atoms:
Y 0.0000 0.0000 0.0000
Tm 0.0000 0.0000 0.3731
Tm 0.6667 0.3333 0.4985
Tm 0.6667 0.3333 0.8696
Mg 0.1625 0.3250 0.6851
Mg 0.1625 0.8375 0.6851
Mg 0.3333 0.6667 0.4358
Mg 0.3333 0.6667 0.9353
Mg 0.5043 0.0087 0.1859
Mg 0.5043 0.4957 0.1859
Mg 0.6750 0.8375 0.6851
Mg 0.9913 0.4957 0.1859

Peak list (10 most intense, 10 to 90 degrees two-theta, most intense first)
| h k l | d [Å] | 2θ (°) | I/Imax |
| --- | --- | --- | --- |
| 1 0 3 | 2.752 | 32.5 | 100.0 |
| 1 1 0 | 3.018 | 29.6 | 80.6 |
| 1 1 2 | 2.563 | 35.0 | 78.8 |
| 1 0 0 | 5.227 | 17.0 | 46.3 |
| 2 1 3 | 1.686 | 54.4 | 45.0 |
| 1 0 1 | 4.603 | 19.3 | 36.4 |
| 0 2 1 | 2.524 | 35.6 | 32.9 |
| 1 0 2 | 3.558 | 25.0 | 24.4 |
| 0 0 2 | 4.856 | 18.3 | 23.7 |
| 2 0 5 | 1.559 | 59.3 | 22.9 |